Diffraction record for CaMoPt. The powder diffraction line list is calculated, not measured: it uses the GGA-PBE geometry in Alexandria and Cu Kα (weighted mean of Kα1 and Kα2).
No peak broadening, texture or thermal motion is included.

Atomic structure:
Cell: 2.887 5.098 8.294 Å, 72.10 87.65 82.30°
Space group P-1 (No. 2)
Asymmetric unit:
1 Ca 0.003 0.188 0.124 x2
2 Mo 0.094 0.223 0.500 x2
3 Pt 0.500 0.374 0.753 x2

Main lines, most intense first (5 to 70 degrees two-theta):
- d = 2.316 Å, intensity 100, (1 0 -2)
- d = 4.811 Å, intensity 87, (0 1 0)
- d = 2.127 Å, intensity 83, (0 2 3)
- d = 2.677 Å, intensity 69, (0 1 -2)
- d = 2.364 Å, intensity 67, (1 1 2)
- d = 2.332 Å, intensity 65, (1 -1 0)
- d = 3.644 Å, intensity 59, (0 1 2)
- d = 7.893 Å, intensity 54, (0 0 1)
- d = 1.972 Å, intensity 37, (0 0 4)
- d = 1.416 Å, intensity 30, (1 2 5)
- d = 2.034 Å, intensity 27, (1 2 1)
- d = 2.406 Å, intensity 24, (0 2 2)